# 1
Diffraction record for Mg6AlIn3. The PXRD pattern is simulated, not measured: it uses a crystal structure in Alexandria, relaxed with PBE and Cu Kα (weighted mean of Kα1 and Kα2).
Lines closer than 0.1° are merged.

The 10 most intense peaks (2θ = 10–90°), sorted by position:
| d/Å | two_theta | intensity | (hkl) |
| --- | --- | --- | --- |
| 8.387 | 10.55 | 100.0 | 0 0 3 |
| 2.814 | 31.80 | 36.4 | 1 0 0 |
| 2.668 | 33.59 | 78.7 | 0 1 3 |
| 2.569 | 34.93 | 29.4 | 0 1 4 |
| 2.516 | 35.68 | 25.7 | 0 0 10 |
| 2.337 | 38.53 | 44.2 | 1 0 6 |
| 2.216 | 40.72 | 30.3 | 1 0 7 |
| 1.625 | 56.66 | 21.0 | 1 1 0 |
| 1.595 | 57.82 | 27.8 | 0 1 13 |
| 1.365 | 68.78 | 21.2 | 1 1 10 |

```
data_Mg6AlIn3
_cell_length_a 3.2493
_cell_length_b 3.2493
_cell_length_c 25.1610
_cell_angle_alpha 90.00
_cell_angle_beta 90.00
_cell_angle_gamma 120.00
_symmetry_space_group_name_H-M 'P -3 m 1'
_symmetry_Int_Tables_number 164
_symmetry_space_group_name_Hall '-P 3 2"'
loop_
_atom_site_label
_atom_site_type_symbol
_atom_site_fract_x
_atom_site_fract_y
_atom_site_fract_z
Mg1 Mg 0.3333 0.6667 0.1020
Mg2 Mg 0.3333 0.6667 0.4071
Mg3 Mg 0.3333 0.6667 0.7962
Al1 Al 0.0000 0.0000 0.5000
In1 In 0.0000 0.0000 0.0000
In2 In 0.0000 0.0000 0.3055
```


# 2
Diffraction record for Al2InN3. The PXRD pattern is simulated, not measured: it uses a crystal structure in Alexandria, relaxed with PBE and Cu Kα (weighted mean of Kα1 and Kα2).
Lines closer than 0.1° are merged.

The 10 most intense peaks (2θ = 10–90°), sorted by position:
| d/Å | two_theta | intensity | (hkl) |
| --- | --- | --- | --- |
| 4.914 | 18.05 | 52.1 | 2 0 0 |
| 3.582 | 24.86 | 66.1 | 1 1 1 |
| 2.836 | 31.54 | 30.1 | 3 1 0 |
| 2.828 | 31.64 | 20.8 | 0 2 0 |
| 2.623 | 34.18 | 39.9 | 0 0 2 |
| 2.493 | 36.02 | 100.0 | 3 1 1 |
| 2.314 | 38.92 | 21.4 | 2 0 2 |
| 1.925 | 47.23 | 23.1 | 0 2 2 |
| 1.634 | 56.29 | 21.7 | 3 3 0 |
| 1.488 | 62.40 | 32.4 | 3 1 3 |

```
data_Al2InN3
_cell_length_a 9.8358
_cell_length_b 5.6552
_cell_length_c 5.2464
_cell_angle_alpha 90.00
_cell_angle_beta 90.00
_cell_angle_gamma 90.00
_symmetry_space_group_name_H-M 'C m c 21'
_symmetry_Int_Tables_number 36
loop_
_symmetry_equiv_pos_as_xyz
'x,y,z'
'-x,-y,z+1/2'
'-x,y,z'
'x,-y,z+1/2'
'x+1/2,y+1/2,z'
'-x+1/2,-y+1/2,z+1/2'
'-x+1/2,y+1/2,z'
'x+1/2,-y+1/2,z+1/2'
loop_
_atom_site_label
_atom_site_type_symbol
_atom_site_fract_x
_atom_site_fract_y
_atom_site_fract_z
Al1 Al 0.1716 0.1633 0.0000
In1 In 0.0000 0.3220 0.4951
N1 N 0.0000 0.2979 0.9148
N2 N 0.1853 0.1483 0.3642
```


# 3
Diffraction record for AlInN2. The PXRD pattern is simulated, not measured: it uses a crystal structure in Alexandria, relaxed with PBE and Cu Kα (weighted mean of Kα1 and Kα2).
Lines closer than 0.1° are merged.

The 10 most intense peaks (2θ = 10–90°), sorted by position:
| d/Å | two_theta | intensity | (hkl) |
| --- | --- | --- | --- |
| 4.369 | 20.33 | 40.2 | 1 1 0 |
| 4.210 | 21.10 | 51.8 | 0 1 1 |
| 2.897 | 30.87 | 48.5 | 1 2 0 |
| 2.705 | 33.11 | 55.5 | 0 0 2 |
| 2.554 | 35.14 | 100.0 | 1 2 1 |
| 2.543 | 35.29 | 54.5 | 2 0 1 |
| 1.977 | 45.90 | 24.2 | 1 2 2 |
| 1.667 | 55.11 | 32.6 | 3 2 0 |
| 1.530 | 60.50 | 46.5 | 2 0 3 |
| 1.419 | 65.82 | 27.5 | 3 2 2 |

```
data_AlInN2
_cell_length_a 5.7627
_cell_length_b 6.7010
_cell_length_c 5.4108
_cell_angle_alpha 90.00
_cell_angle_beta 90.00
_cell_angle_gamma 90.00
_symmetry_space_group_name_H-M 'P n a 21'
_symmetry_Int_Tables_number 33
loop_
_symmetry_equiv_pos_as_xyz
'x,y,z'
'-x,-y,z+1/2'
'-x+1/2,y+1/2,z+1/2'
'x+1/2,-y+1/2,z'
loop_
_atom_site_label
_atom_site_type_symbol
_atom_site_fract_x
_atom_site_fract_y
_atom_site_fract_z
Al1 Al 0.0761 0.1256 0.0000
In1 In 0.0908 0.6236 0.9975
N1 N 0.0593 0.1028 0.3511
N2 N 0.1045 0.6475 0.4035
```


# 4
Diffraction record for Na2Al2In. The PXRD pattern is simulated, not measured: it uses a crystal structure in Alexandria, relaxed with PBE and Cu Kα (weighted mean of Kα1 and Kα2).
Lines closer than 0.1° are merged.

The 10 most intense peaks (2θ = 10–90°), sorted by position:
| d/Å | two_theta | intensity | (hkl) |
| --- | --- | --- | --- |
| 7.274 | 12.17 | 62.8 | 0 0 2 |
| 3.991 | 22.27 | 35.6 | 1 0 1 |
| 3.637 | 24.48 | 26.1 | 0 0 4 |
| 3.153 | 28.30 | 61.4 | 1 0 3 |
| 2.935 | 30.46 | 25.3 | 1 1 0 |
| 2.722 | 32.91 | 100.0 | 1 1 2 |
| 2.382 | 37.76 | 53.0 | 1 0 5 |
| 2.075 | 43.62 | 30.0 | 2 0 0 |
| 1.858 | 49.02 | 21.4 | 1 0 7 |
| 1.565 | 59.03 | 27.7 | 2 1 5 |

```
data_Na2Al2In
_cell_length_a 4.1504
_cell_length_b 4.1504
_cell_length_c 14.5474
_cell_angle_alpha 90.00
_cell_angle_beta 90.00
_cell_angle_gamma 90.00
_symmetry_space_group_name_H-M 'I 4/m m m'
_symmetry_Int_Tables_number 139
_symmetry_space_group_name_Hall '-I 4 2'
loop_
_atom_site_label
_atom_site_type_symbol
_atom_site_fract_x
_atom_site_fract_y
_atom_site_fract_z
Na1 Na 0.0000 0.5000 0.2500
Al1 Al 0.0000 0.0000 0.0885
In1 In 0.0000 0.0000 0.5000
```